Starting from a DFT-relaxed cell (PBE+U, Alexandria), the XRD peak list of TlV3CdCu4O13 was simulated for CuKα.
Neutral-atom scattering factors, no anomalous dispersion.

Atomic structure:
```
TlV3CdCu4O13
1.0
8.4621 0.0000 0.0000
0.0000 6.4099 0.0000
-1.1790 0.0000 10.9074
Tl V Cd Cu O
2 6 2 8 26
Cartesian
-0.3734 1.6025 4.3742
7.6566 4.8074 6.5332
-0.0076 4.8074 2.1148
1.7540 4.8074 9.5398
2.4188 4.8074 5.3085
4.8644 1.6025 5.5989
5.5291 1.6025 1.3677
7.2908 1.6025 8.7926
1.8971 1.6025 6.8960
5.3860 4.8074 4.0114
0.6831 1.6025 1.2908
1.9233 1.6025 10.3021
2.9882 3.2591 2.3123
2.9882 6.3557 2.3123
4.2949 0.0541 8.5951
4.2949 3.1508 8.5951
5.3599 4.8074 0.6054
6.6000 4.8074 9.6166
-0.3198 1.6025 7.3243
-0.0097 1.6025 10.1015
0.0553 4.8074 9.4991
1.0624 3.3842 2.0720
1.0624 6.2306 2.0720
1.4259 3.4261 5.6459
1.4259 6.1887 5.6459
2.7357 1.6025 1.3652
2.3512 3.2656 8.7980
2.3512 6.3492 8.7980
3.4435 4.8074 0.3021
3.1147 4.8074 3.5110
3.5490 1.6025 4.5616
3.7341 4.8074 6.3458
4.1685 1.6025 7.3965
3.8396 1.6025 10.6053
4.9320 0.0607 2.1094
4.9320 3.1442 2.1094
4.5474 4.8074 9.5422
5.8573 0.2211 5.2616
5.8573 2.9838 5.2616
6.2207 0.1792 8.8355
6.2207 3.0257 8.8355
7.2279 1.6025 1.4083
7.2928 4.8074 0.8060
7.6030 4.8074 3.5832
```

Principal peaks in the range 2θ = 10–90°, in order of rising 2θ:
Position (°2θ), I (rel.)
23.09, 407
27.82, 873
28.96, 694
30.68, 399
31.13, 1000
31.91, 613
33.84, 874
36.72, 363
43.58, 406
57.51, 334